For CrSbF5, a cell relaxed with PBE+U gives the theoretical X-ray diffraction stick pattern in this record (Cu Kα).

Atomic structure:
abc: 6.0849 9.9885 7.6982
angles: 90.00 103.96 90.00
Space group P2_1/c (No. 14)
Unique sites:
1 Cr 0.0544 0.2404 0.3815 x4
2 Sb 0.4788 0.5256 0.7349 x4
3 F 0.0849 0.1938 0.6413 x4
4 F 0.1534 0.6024 0.6060 x4
5 F 0.2789 0.6196 0.1984 x4
6 F 0.3015 0.0926 0.3748 x4
7 F 0.3773 0.1011 0.0226 x4

Peak list (6 most intense, 10° ≤ 2θ ≤ 90°, by intensity)
| h k l | 2θ (°) | d/Å | I (rel.) |
| --- | --- | --- | --- |
| 1 2 0 | 23.33 | 3.813 | 1000 |
| 1 2 -2 | 30.79 | 2.904 | 222 |
| 0 2 2 | 29.87 | 2.991 | 185 |
| 1 0 -2 | 24.94 | 3.570 | 176 |
| 0 0 2 | 23.82 | 3.735 | 172 |
| 1 0 0 | 15.00 | 5.905 | 164 |